# 1
This entry pairs a crystal structure of TbCe2NpS5 with its calculated powder XRD pattern. Radiation: a wavelength of 1.5418 Å. Structure: a DFT-relaxed cell (GGA-PBE, Alexandria).

Peak list (10 most intense, 5 to 70 degrees two-theta, in order of falling intensity)
Position (°2θ), I (rel.)
24.8, 100.0
25.6, 92.9
36.5, 69.8
44.7, 44.2
43.2, 25.0
50.9, 23.2
59.4, 19.3
34.2, 17.8
52.6, 16.8
39.0, 12.2

```
data_TbCe2NpS5
_chemical_formula_sum 'Tb1 Ce2 Np1 S5'
_symmetry_space_group_name_H-M 'P 1'
_symmetry_Int_Tables_number 1
_cell_length_a 4.922
_cell_length_b 4.922
_cell_length_c 10.473
_cell_angle_alpha 90.00
_cell_angle_beta 90.00
_cell_angle_gamma 90.00
loop_
_symmetry_equiv_pos_as_xyz
'x,y,z'
loop_
_atom_site_label
_atom_site_type_symbol
_atom_site_fract_x
_atom_site_fract_y
_atom_site_fract_z
_atom_site_occupancy
Tb1 Tb 0.000 0.000 0.000 1
Ce1 Ce 0.500 0.500 0.202 1
Ce2 Ce 0.500 0.500 0.798 1
Np1 Np 0.000 0.000 0.500 1
S1 S 0.000 0.000 0.253 1
S2 S 0.000 0.000 0.747 1
S3 S 0.000 0.500 0.000 1
S4 S 0.500 0.000 0.000 1
S5 S 0.500 0.500 0.500 1
```


# 2
This entry pairs a crystal structure of BaCdP with its calculated powder XRD pattern. Radiation: a wavelength of 1.5418 Å. Structure: a DFT-relaxed cell (GGA-PBE, Alexandria).

Peak list (10 most intense, 5 to 70 degrees two-theta, in order of falling intensity)
Position (°2θ), I (rel.)
30.8, 100.0
34.9, 95.8
26.3, 78.1
23.9, 52.6
40.4, 37.5
36.3, 36.5
21.4, 28.2
48.8, 28.2
31.3, 27.9
54.9, 25.2

```
data_BaCdP
_chemical_formula_sum 'Ba2 Cd2 P2'
_symmetry_space_group_name_H-M 'P 1'
_symmetry_Int_Tables_number 1
_cell_length_a 6.313
_cell_length_b 6.313
_cell_length_c 7.247
_cell_angle_alpha 103.39
_cell_angle_beta 103.39
_cell_angle_gamma 41.42
loop_
_symmetry_equiv_pos_as_xyz
'x,y,z'
loop_
_atom_site_label
_atom_site_type_symbol
_atom_site_fract_x
_atom_site_fract_y
_atom_site_fract_z
_atom_site_occupancy
Ba1 Ba 0.000 0.000 0.000 1
Ba2 Ba 0.690 0.690 0.638 1
Cd1 Cd 0.404 0.404 0.339 1
Cd2 Cd 0.721 0.721 0.175 1
P1 P 0.290 0.290 0.974 1
P2 P 0.958 0.958 0.525 1
```


# 3
This entry pairs a crystal structure of Y2Ho3Tm5 with its calculated powder XRD pattern. Radiation: a wavelength of 1.5418 Å. Structure: a DFT-relaxed cell (GGA-PBE, Alexandria).

Peak list (10 most intense, 5 to 70 degrees two-theta, in order of falling intensity)
Position (°2θ), I (rel.)
30.9, 100.0
30.7, 82.7
33.9, 41.1
58.7, 23.1
61.6, 19.4
66.9, 18.8
49.8, 18.6
67.6, 18.5
32.6, 16.7
22.7, 16.7

```
data_Y2Ho3Tm5
_chemical_formula_sum 'Y4 Ho6 Tm10'
_symmetry_space_group_name_H-M 'P 1'
_symmetry_Int_Tables_number 1
_cell_length_a 9.356
_cell_length_b 9.356
_cell_length_c 9.439
_cell_angle_alpha 108.43
_cell_angle_beta 108.43
_cell_angle_gamma 111.20
loop_
_symmetry_equiv_pos_as_xyz
'x,y,z'
loop_
_atom_site_label
_atom_site_type_symbol
_atom_site_fract_x
_atom_site_fract_y
_atom_site_fract_z
_atom_site_occupancy
Y1 Y 0.026 0.278 0.047 1
Y2 Y 0.278 0.026 0.547 1
Y3 Y 0.722 0.974 0.453 1
Y4 Y 0.974 0.722 0.953 1
Ho1 Ho 0.022 0.978 0.750 1
Ho2 Ho 0.226 0.481 0.451 1
Ho3 Ho 0.481 0.226 0.951 1
Ho4 Ho 0.519 0.774 0.049 1
Ho5 Ho 0.774 0.519 0.549 1
Ho6 Ho 0.978 0.022 0.250 1
Tm1 Tm 0.113 0.375 0.737 1
Tm2 Tm 0.225 0.775 0.750 1
Tm3 Tm 0.275 0.725 0.250 1
Tm4 Tm 0.375 0.113 0.237 1
Tm5 Tm 0.480 0.520 0.250 1
Tm6 Tm 0.520 0.480 0.750 1
Tm7 Tm 0.625 0.887 0.763 1
Tm8 Tm 0.725 0.275 0.750 1
Tm9 Tm 0.775 0.225 0.250 1
Tm10 Tm 0.887 0.625 0.263 1
```


# 4
This entry pairs a crystal structure of La3MgOs with its calculated powder XRD pattern. Radiation: a wavelength of 1.5418 Å. Structure: a DFT-relaxed cell (GGA-PBE, Alexandria).

Peak list (10 most intense, 5 to 70 degrees two-theta, in order of falling intensity)
Position (°2θ), I (rel.)
12.8, 100.0
29.1, 72.1
35.5, 61.2
36.2, 58.0
28.1, 52.3
26.1, 50.8
36.6, 43.5
32.1, 41.4
14.9, 35.9
19.4, 30.4

```
data_La3MgOs
_chemical_formula_sum 'La6 Mg2 Os2'
_symmetry_space_group_name_H-M 'P 1'
_symmetry_Int_Tables_number 1
_cell_length_a 6.354
_cell_length_b 7.155
_cell_length_c 7.367
_cell_angle_alpha 90.00
_cell_angle_beta 110.55
_cell_angle_gamma 90.00
loop_
_symmetry_equiv_pos_as_xyz
'x,y,z'
loop_
_atom_site_label
_atom_site_type_symbol
_atom_site_fract_x
_atom_site_fract_y
_atom_site_fract_z
_atom_site_occupancy
La1 La 0.030 0.250 0.372 1
La2 La 0.454 0.508 0.233 1
La3 La 0.454 0.992 0.233 1
La4 La 0.546 0.008 0.767 1
La5 La 0.546 0.492 0.767 1
La6 La 0.970 0.750 0.628 1
Mg1 Mg 0.067 0.250 0.858 1
Mg2 Mg 0.933 0.750 0.142 1
Os1 Os 0.301 0.750 0.474 1
Os2 Os 0.699 0.250 0.526 1
```